Entry 1:
The following is a calculated powder XRD pattern of Nb3VF6. It was derived from a DFT-relaxed cell (GGA+U, the Materials Project), using Cu Kα.

Structure:
```
Nb3VF6
1.0
5.0878 0.0000 0.0000
2.4877 7.2809 0.0000
1.4750 0.3438 7.9232
Nb V F
3 1 6
direct
0.0000 0.0000 0.0000 Nb
0.0000 0.5000 0.5000 Nb
0.5000 0.0000 0.0000 Nb
0.0000 0.5000 0.0000 V
0.0619 0.4857 0.7382 F
0.1439 0.7253 0.9638 F
0.3689 0.2803 0.9960 F
0.6311 0.7197 0.0040 F
0.8561 0.2747 0.0362 F
0.9381 0.5143 0.2618 F
```

Main lines, sorted by position (2θ = 10–80°):
2θ 11.17, intensity 100
2θ 16.18, intensity 41
2θ 16.90, intensity 40
2θ 18.67, intensity 20
2θ 22.44, intensity 55
2θ 24.47, intensity 28

***

Entry 2:
The following is a calculated powder XRD pattern of LiCoPt3O6. It was derived from a DFT-relaxed cell (GGA+U, the Materials Project), using Cu Kα.

Structure:
```
LiCoPt3O6
1.0
6.2417 0.0000 0.0000
0.0000 3.1715 0.0000
-1.8158 0.0000 6.3072
Li Co Pt O
1 1 3 6
direct
0.0000 0.0000 0.0000 Li
0.7451 0.5000 0.7295 Co
0.3100 0.0000 0.7936 Pt
0.3142 0.5000 0.2993 Pt
0.8129 0.0000 0.3046 Pt
0.2558 0.5000 0.9766 O
0.3677 0.5000 0.6175 O
0.6505 0.5000 0.3921 O
0.6534 0.0000 0.8917 O
0.9647 0.0000 0.6813 O
0.9761 0.5000 0.2105 O
```

Main lines, sorted by position (2θ = 10–80°):
2θ 28.30, intensity 71
2θ 29.79, intensity 62
2θ 33.25, intensity 100
2θ 36.72, intensity 55
2θ 50.80, intensity 37
2θ 52.65, intensity 33

***

Entry 3:
The following is a calculated powder XRD pattern of CuMoO4. It was derived from a DFT-relaxed cell (GGA+U, the Materials Project), using Cu Kα.

Structure:
```
CuMoO4
1.0
4.8104 0.0000 0.0000
0.3784 4.9369 0.0000
1.0729 0.2375 5.9404
Cu Mo O
2 2 8
direct
0.0099 0.2538 0.3449 Cu
0.9901 0.7462 0.6551 Cu
0.4714 0.2569 0.8290 Mo
0.5286 0.7431 0.1710 Mo
0.2262 0.9043 0.3800 O
0.2536 0.4344 0.6489 O
0.2824 0.9566 0.9139 O
0.2888 0.4277 0.1234 O
0.7112 0.5723 0.8766 O
0.7176 0.0434 0.0861 O
0.7464 0.5656 0.3511 O
0.7738 0.0957 0.6200 O
```

Main lines, sorted by position (2θ = 10–80°):
2θ 21.91, intensity 49
2θ 26.07, intensity 51
2θ 27.23, intensity 100
2θ 29.69, intensity 73
2θ 31.45, intensity 53
2θ 32.25, intensity 42

***

Entry 4:
The following is a calculated powder XRD pattern of SrCa7Mn7CrO23. It was derived from a DFT-relaxed cell (GGA+U, the Materials Project), using Cu Kα.

Structure:
```
SrCa7Mn7CrO23
1.0
5.4087 -5.4076 0.0000
5.4087 5.4076 0.0000
-0.0074 0.0000 7.7072
Sr Ca Mn Cr O
1 7 7 1 23
direct
0.0000 0.0000 0.0000 Sr
0.0042 0.4859 0.9979 Ca
0.0099 0.0099 0.5088 Ca
0.0095 0.4802 0.5097 Ca
0.4780 0.4780 0.5097 Ca
0.4802 0.0095 0.5097 Ca
0.4859 0.0042 0.9979 Ca
0.4857 0.4857 0.9979 Ca
0.2445 0.2445 0.7526 Mn
0.2448 0.2448 0.2513 Mn
0.2452 0.7430 0.7544 Mn
0.2458 0.7430 0.2490 Mn
0.7430 0.2452 0.7544 Mn
0.7430 0.2458 0.2490 Mn
0.7431 0.7431 0.7452 Mn
0.7424 0.7424 0.2636 Cr
0.2416 0.7396 0.0007 O
0.2449 0.2449 0.5018 O
0.2453 0.4934 0.7438 O
0.2451 0.4943 0.2573 O
0.2468 0.2468 0.0010 O
0.2473 0.7418 0.5003 O
0.2470 0.9932 0.2593 O
0.2465 0.9939 0.7417 O
0.4934 0.2453 0.7438 O
0.4943 0.2451 0.2573 O
0.4965 0.7429 0.7790 O
0.5043 0.7426 0.2153 O
0.7395 0.7395 0.4923 O
0.7395 0.9915 0.7684 O
0.7396 0.2416 0.0007 O
0.7405 0.9824 0.2240 O
0.7418 0.2473 0.5003 O
0.7429 0.4965 0.7790 O
0.7426 0.5043 0.2153 O
0.9824 0.7405 0.2240 O
0.9915 0.7395 0.7684 O
0.9932 0.2470 0.2593 O
0.9939 0.2465 0.7417 O
```

Main lines, sorted by position (2θ = 10–80°):
2θ 33.00, intensity 100
2θ 33.13, intensity 45
2θ 47.17, intensity 22
2θ 47.55, intensity 45
2θ 59.10, intensity 33
2θ 69.22, intensity 23

***

Entry 5:
The following is a calculated powder XRD pattern of Sr2TiMnO6. It was derived from a DFT-relaxed cell (GGA+U, the Materials Project), using Cu Kα.

Structure:
```
Sr2TiMnO6
1.0
-2.7537 2.7537 3.8959
2.7537 -2.7537 3.8959
2.7537 2.7537 -3.8959
Sr Ti Mn O
2 1 1 6
direct
0.2500 0.7500 0.5000 Sr
0.7500 0.2500 0.5000 Sr
0.0000 0.0000 0.0000 Ti
0.5000 0.5000 0.0000 Mn
0.2455 0.2596 0.5051 O
0.2526 0.2526 0.0000 O
0.2596 0.7545 0.0142 O
0.7404 0.2455 0.9858 O
0.7474 0.7474 0.0000 O
0.7545 0.7404 0.4949 O
```

Main lines, sorted by position (2θ = 10–80°):
2θ 32.51, intensity 100
2θ 40.10, intensity 18
2θ 46.64, intensity 40
2θ 58.00, intensity 38
2θ 68.09, intensity 23
2θ 77.50, intensity 16

***

Entry 6:
The following is a calculated powder XRD pattern of CrO3F3. It was derived from a DFT-relaxed cell (GGA+U, the Materials Project), using Cu Kα.

Structure:
```
CrO3F3
1.0
4.9841 0.0000 0.0000
-1.2091 5.2474 0.0000
-1.4696 -2.9121 4.5081
Cr O F
1 3 3
direct
0.0000 0.0000 0.0000 Cr
0.5114 0.7793 0.4891 O
0.5752 0.7254 0.2768 O
0.8976 0.6504 0.8736 O
0.1653 0.1272 0.8141 F
0.3070 0.1683 0.3430 F
0.7711 0.1836 0.1229 F
```

Main lines, sorted by position (2θ = 10–80°):
2θ 19.05, intensity 50
2θ 19.69, intensity 51
2θ 20.15, intensity 100
2θ 21.48, intensity 75
2θ 22.11, intensity 65
2θ 33.89, intensity 51